Diffraction record for Pm2Sn4Pd3. The powder XRD pattern is theoretical, not measured: it uses a crystal structure in Alexandria, relaxed with GGA-PBE and Cu Kα (λ = 1.5418 Å).
Neutral-atom scattering factors, no anomalous dispersion.

Peak list (8 most intense, 10 to 90 degrees two-theta, in order of rising 2θ)
Position (°2θ)  Rel. int.  index
31.3  23  1 3 2
32.7  51  2 2 1
33.5  87  1 5 1
35.2  44  0 2 3
35.7  27  0 6 1
36.4  100  2 0 2
40.7  25  0 6 2
44.9  24  0 0 4

```
data_Pm2Sn4Pd3
_symmetry_space_group_name_H-M 'C m c e'
_symmetry_Int_Tables_number 64
_symmetry_space_group_name_Hall '-C 2ac 2'
_cell_length_a 6.246
_cell_length_b 15.897
_cell_length_c 8.070
_cell_angle_alpha 90.00
_cell_angle_beta 90.00
_cell_angle_gamma 90.00
loop_
_atom_site_label
_atom_site_type_symbol
_atom_site_fract_x
_atom_site_fract_y
_atom_site_fract_z
Pm1 Pm 0.000 0.110 0.093
Sn1 Sn 0.000 0.181 0.476
Sn2 Sn 0.250 0.058 0.750
Pd1 Pd 0.000 0.000 0.500
Pd2 Pd 0.250 0.230 0.750
```

---

Diffraction record for Pm2Sn8Pd. The powder XRD pattern is theoretical, not measured: it uses a crystal structure in Alexandria, relaxed with GGA-PBE and Cu Kα (λ = 1.5418 Å).
Neutral-atom scattering factors, no anomalous dispersion.

Peak list (8 most intense, 10 to 90 degrees two-theta, in order of rising 2θ)
Position (°2θ)  Rel. int.  index
30.1  24  1 1 2
33.9  100  1 1 3
34.3  15  0 0 5
38.2  48  2 0 0
52.3  18  2 0 5
55.2  17  2 2 0
63.5  14  1 1 8
66.4  30  3 1 3

```
data_Pm2Sn8Pd
_symmetry_space_group_name_H-M 'P 4/m m m'
_symmetry_Int_Tables_number 123
_symmetry_space_group_name_Hall '-P 4 2'
_cell_length_a 4.708
_cell_length_b 4.708
_cell_length_c 13.055
_cell_angle_alpha 90.00
_cell_angle_beta 90.00
_cell_angle_gamma 90.00
loop_
_atom_site_label
_atom_site_type_symbol
_atom_site_fract_x
_atom_site_fract_y
_atom_site_fract_z
Pm1 Pm 0.000 0.000 0.174
Sn1 Sn 0.000 0.500 0.000
Sn2 Sn 0.000 0.500 0.376
Sn3 Sn 0.500 0.500 0.196
Pd1 Pd 0.000 0.000 0.500
```

---

Diffraction record for Pm3Sn4Pd8. The powder XRD pattern is theoretical, not measured: it uses a crystal structure in Alexandria, relaxed with GGA-PBE and Cu Kα (λ = 1.5418 Å).
Neutral-atom scattering factors, no anomalous dispersion.

Peak list (8 most intense, 10 to 90 degrees two-theta, in order of rising 2θ)
Position (°2θ)  Rel. int.  index
29.8  9  4 2 0
34.8  25  3 3 3
38.0  100  4 4 0
39.8  8  5 3 1
54.8  10  8 0 0
66.5  9  9 3 1
68.6  25  8 4 4
81.2  10  8 8 0

```
data_Pm3Sn4Pd8
_symmetry_space_group_name_H-M 'F m -3 m'
_symmetry_Int_Tables_number 225
_symmetry_space_group_name_Hall '-F 4 2 3'
_cell_length_a 13.404
_cell_length_b 13.404
_cell_length_c 13.404
_cell_angle_alpha 90.00
_cell_angle_beta 90.00
_cell_angle_gamma 90.00
loop_
_atom_site_label
_atom_site_type_symbol
_atom_site_fract_x
_atom_site_fract_y
_atom_site_fract_z
Pm1 Pm 0.000 0.000 0.230
Sn1 Sn 0.000 0.000 0.000
Sn2 Sn 0.000 0.000 0.500
Sn3 Sn 0.000 0.250 0.250
Pd1 Pd 0.122 0.122 0.378
Pd2 Pd 0.167 0.167 0.167
```